For CeMg2, a cell relaxed with PBE gives the computed powder X-ray diffraction pattern in this record (λ = 1.5418 Å (Cu Kα)).
Lines closer than 0.1° are merged.

abc: 3.164 3.164 16.714
angles: 90.00 90.00 120.00
Element x y z (fractional)
Ce (0.333, 0.667, 0.410)
Ce (0.667, 0.333, 0.590)
Mg (0.333, 0.667, 0.079)
Mg (0.333, 0.667, 0.764)
Mg (0.667, 0.333, 0.236)
Mg (0.667, 0.333, 0.921)

Principal peaks in the range 2θ from 15° to 90°, sorted by position:
- d = 3.343 Å, 2θ = 26.7°, rel. 22, hkl 0 0 5
- d = 2.786 Å, 2θ = 32.1°, rel. 29, hkl 0 0 6
- d = 2.740 Å, 2θ = 32.7°, rel. 23, hkl 1 0 0
- d = 2.704 Å, 2θ = 33.1°, rel. 24, hkl 0 1 1
- d = 2.604 Å, 2θ = 34.4°, rel. 42, hkl 0 1 2
- d = 2.459 Å, 2θ = 36.5°, rel. 100, hkl 1 0 3
- d = 1.537 Å, 2θ = 60.2°, rel. 19, hkl 1 0 9
- d = 1.376 Å, 2θ = 68.2°, rel. 19, hkl 1 1 6